The following is a theoretical powder diffraction line list of GdSi3Ni8. It was derived from DFT lattice parameters and positions (GGA-PBE), using copper Kα.
Lines closer than 0.1° are merged.

Peak list (10 most intense, 2θ = 10–90°, in order of rising 2θ)
- 30.84°, 2.899 Å, intensity 40, (2 0 0)
- 36.38°, 2.470 Å, intensity 27, (1 5 -1)
- 37.06°, 2.426 Å, intensity 17, (0 4 2)
- 40.54°, 2.225 Å, intensity 43, (2 2 1)
- 40.77°, 2.213 Å, intensity 26, (2 4 0)
- 41.22°, 2.190 Å, intensity 40, (2 4 -2)
- 41.41°, 2.180 Å, intensity 49, (2 2 -3)
- 41.62°, 2.170 Å, intensity 100, (0 2 3)
- 43.79°, 2.067 Å, intensity 23, (3 1 -1)
- 44.11°, 2.053 Å, intensity 17, (3 1 -2)

Cell and atoms:
```
data_GdSi3Ni8
_chemical_formula_sum 'Gd4 Si12 Ni32'
_space_group_name_H-M_alt 'C 1 2/c 1'
_space_group_IT_number 15
_cell_length_a 6.3269
_cell_length_b 13.7048
_cell_length_c 7.4977
_cell_angle_alpha 90.00
_cell_angle_beta 113.60
_cell_angle_gamma 90.00
loop_
_space_group_symop_operation_xyz
'x,y,z'
'-x,-y,-z'
'-x,y,-z+1/2'
'x,-y,z+1/2'
'x+1/2,y+1/2,z'
'-x+1/2,-y+1/2,-z'
'-x+1/2,y+1/2,-z+1/2'
'x+1/2,-y+1/2,z+1/2'
loop_
_atom_site_label
_atom_site_fract_x
_atom_site_fract_y
_atom_site_fract_z
_atom_site_occupancy
Gd1 0.0000 0.1317 0.2500 1
Si1 0.2307 0.4537 0.3248 1
Si2 0.2500 0.2500 0.0000 1
Ni1 0.0000 0.3773 0.7500 1
Ni2 0.0000 0.5000 0.0000 1
Ni3 0.0291 0.3320 0.4210 1
Ni4 0.1357 0.0745 0.9314 1
Ni5 0.1409 0.2093 0.6707 1
```